# PmPrHoTl
Computed powder diffractogram, copper Kα. Input: a structure optimized by DFT (PBE).
No peak broadening, texture or thermal motion is included.

Structural model:
Cell lengths 4.892, 4.919, 5.026 Å; angles 90.00, 90.00, 90.00 degrees
Space group Pmmm (No. 47)
One atom of each set of equivalent atoms:
Pm 0.000 0.000 0.000 x1
Pr 0.500 0.500 0.000 x1
Ho 0.000 0.500 0.500 x1
Tl 0.500 0.000 0.500 x1

Main lines, low angle first (5° ≤ 2θ ≤ 70°):
2θ (°)	intensity	h k l
31.33	100	1 1 1
35.73	18	0 0 2
36.53	17	0 2 0
36.75	16	2 0 0
52.03	12	0 2 2
52.19	12	2 0 2
61.46	15	1 1 3
62.54	14	1 3 1
62.82	14	3 1 1
65.38	12	2 2 2